(1)
CaLa2C: theoretical XRD peak list (Cu Kα, 1.54184 Å), based on a cell relaxed with GGA-PBE.

Principal peaks in the range 2θ from 10° to 80°, by intensity:
28.65 deg, 3.116 Å, intensity 100, (0 1 1); 32.54 deg, 2.752 Å, intensity 91, (1 0 2); 26.31 deg, 3.388 Å, intensity 33, (0 0 3); 48.15 deg, 1.890 Å, intensity 26, (1 1 0); 55.69 deg, 1.650 Å, intensity 24, (1 1 3); 45.18 deg, 2.007 Å, intensity 24, (0 1 4)

Cell and atoms:
a = 3.7797 Å, b = 3.7797 Å, c = 10.1630 Å
α = 90.00°, β = 90.00°, γ = 120.00°
Space group P-3m1 (No. 164)
Inequivalent atoms, fractional coordinates:
Ca 0.0000 0.0000 0.0000 (multiplicity 1)
La 0.3333 0.6667 0.3582 (multiplicity 2)
C 0.0000 0.0000 0.5000 (multiplicity 1)


(2)
Li3Sn2Bi4: theoretical XRD peak list (Cu Kα, 1.54184 Å), based on a cell relaxed with GGA-PBE.

Principal peaks in the range 2θ from 10° to 80°, by intensity:
22.65 deg, 3.926 Å, intensity 100, (2 2 -1); 33.43 deg, 2.680 Å, intensity 100, (2 4 -1); 27.45 deg, 3.249 Å, intensity 74, (2 2 1); 28.06 deg, 3.180 Å, intensity 72, (0 4 0); 29.90 deg, 2.989 Å, intensity 69, (0 0 2); 36.00 deg, 2.495 Å, intensity 66, (4 0 -2)

Cell and atoms:
a = 12.6232 Å, b = 12.7189 Å, c = 6.2094 Å
α = 90.00°, β = 105.72°, γ = 90.00°
Space group C2/c (No. 15)
Inequivalent atoms, fractional coordinates:
Li 0.0000 0.0028 0.2500 (multiplicity 4)
Li 0.1239 0.4192 0.9864 (multiplicity 8)
Sn 0.1789 0.1011 0.5858 (multiplicity 8)
Bi 0.0946 0.3389 0.4909 (multiplicity 8)
Bi 0.1501 0.1526 0.0635 (multiplicity 8)


(3)
Ga5Rh2: theoretical XRD peak list (Cu Kα, 1.54184 Å), based on a cell relaxed with GGA-PBE.

Principal peaks in the range 2θ from 10° to 80°, by intensity:
41.04 deg, 2.199 Å, intensity 100, (1 1 -3); 43.97 deg, 2.059 Å, intensity 65, (6 0 -2); 40.80 deg, 2.212 Å, intensity 58, (3 1 2); 47.25 deg, 1.924 Å, intensity 46, (4 2 -1); 34.10 deg, 2.629 Å, intensity 44, (3 1 -2); 43.11 deg, 2.099 Å, intensity 43, (2 2 1)

Cell and atoms:
a = 13.1816 Å, b = 4.7989 Å, c = 7.4374 Å
α = 90.00°, β = 103.36°, γ = 90.00°
Space group C2/c (No. 15)
Inequivalent atoms, fractional coordinates:
Ga 0.0000 0.1697 0.2500 (multiplicity 4)
Ga 0.0817 0.3488 0.9194 (multiplicity 8)
Ga 0.2300 0.0686 0.3458 (multiplicity 8)
Rh 0.1075 0.1452 0.5719 (multiplicity 8)


(4)
Li5Ir3: theoretical XRD peak list (Cu Kα, 1.54184 Å), based on a cell relaxed with GGA-PBE.

Principal peaks in the range 2θ from 10° to 80°, by intensity:
20.19 deg, 4.398 Å, intensity 100, (0 4 0); 44.93 deg, 2.017 Å, intensity 55, (2 4 2); 10.06 deg, 8.797 Å, intensity 51, (0 2 0); 39.70 deg, 2.270 Å, intensity 38, (2 0 2); 42.34 deg, 2.135 Å, intensity 35, (4 4 0); 41.05 deg, 2.199 Å, intensity 27, (0 8 0)

Cell and atoms:
a = 9.7654 Å, b = 17.5938 Å, c = 5.1288 Å
α = 90.00°, β = 90.00°, γ = 90.00°
Space group Fmm2 (No. 42)
Inequivalent atoms, fractional coordinates:
Li 0.0000 0.0000 0.0000 (multiplicity 4)
Li 0.0000 0.0000 0.4987 (multiplicity 4)
Li 0.1345 0.1283 0.0157 (multiplicity 16)
Li 0.1350 0.1279 0.5147 (multiplicity 16)
Ir 0.0000 0.2503 0.0182 (multiplicity 8)
Ir 0.2447 0.0000 0.2579 (multiplicity 8)
Ir 0.2500 0.2500 0.2674 (multiplicity 8)


(5)
V13W2: theoretical XRD peak list (Cu Kα, 1.54184 Å), based on a cell relaxed with GGA-PBE.

Principal peaks in the range 2θ from 10° to 80°, by intensity:
16.01 deg, 5.536 Å, intensity 100, (1 0 1); 41.67 deg, 2.168 Å, intensity 77, (2 1 1); 45.06 deg, 2.012 Å, intensity 59, (0 2 7); 39.89 deg, 2.260 Å, intensity 54, (0 1 8); 23.79 deg, 3.740 Å, intensity 44, (1 0 4); 30.10 deg, 2.969 Å, intensity 40, (1 1 3)

Cell and atoms:
a = 6.6629 Å, b = 6.6629 Å, c = 19.6487 Å
α = 90.00°, β = 90.00°, γ = 120.00°
Space group R-3m (No. 166, hexagonal axes)
Inequivalent atoms, fractional coordinates:
V 0.0000 0.0000 0.0000 (multiplicity 3)
V 0.0699 0.5350 0.2909 (multiplicity 18)
V 0.0767 0.5383 0.4201 (multiplicity 18)
W 0.0000 0.0000 0.1319 (multiplicity 6)


(6)
Tm3TiAg3S8: theoretical XRD peak list (Cu Kα, 1.54184 Å), based on a cell relaxed with GGA-PBE.

Principal peaks in the range 2θ from 10° to 80°, by intensity:
32.65 deg, 2.743 Å, intensity 100, (2 2 -2); 28.31 deg, 3.152 Å, intensity 64, (4 0 -2); 47.16 deg, 1.927 Å, intensity 51, (0 4 0); 32.80 deg, 2.731 Å, intensity 49, (4 0 0); 46.75 deg, 1.943 Å, intensity 34, (2 2 2); 16.18 deg, 5.477 Å, intensity 33, (2 0 0)

Cell and atoms:
a = 13.3534 Å, b = 7.7094 Å, c = 7.8072 Å
α = 90.00°, β = 125.12°, γ = 90.00°
Space group C2/m (No. 12)
Inequivalent atoms, fractional coordinates:
Tm 0.0000 0.0000 0.0000 (multiplicity 2)
Tm 0.2500 0.2500 0.0000 (multiplicity 4)
Ti 0.0000 0.5000 0.0000 (multiplicity 2)
Ag 0.0000 0.5000 0.5000 (multiplicity 2)
Ag 0.2500 0.2500 0.5000 (multiplicity 4)
S 0.0032 0.2686 0.7801 (multiplicity 8)
S 0.2281 0.5000 0.2196 (multiplicity 4)
S 0.2465 0.0000 0.2376 (multiplicity 4)


(7)
SrPd2O4: theoretical XRD peak list (Cu Kα, 1.54184 Å), based on a cell relaxed with GGA-PBE.

Principal peaks in the range 2θ from 10° to 80°, by intensity:
34.06 deg, 2.633 Å, intensity 100, (2 1 1); 29.66 deg, 3.012 Å, intensity 30, (1 0 3); 55.40 deg, 1.658 Å, intensity 22, (2 2 4); 16.87 deg, 5.256 Å, intensity 14, (1 0 1); 46.13 deg, 1.968 Å, intensity 14, (1 0 5); 55.06 deg, 1.668 Å, intensity 12, (3 2 1)

Cell and atoms:
a = 6.0922 Å, b = 6.0922 Å, c = 10.3954 Å
α = 90.00°, β = 90.00°, γ = 90.00°
Space group I4_1/a (No. 88, origin choice 2)
Inequivalent atoms, fractional coordinates:
Sr 0.0000 0.2500 0.1250 (multiplicity 4)
Pd 0.0000 0.0000 0.5000 (multiplicity 8)
O 0.1501 0.0301 0.3296 (multiplicity 16)


(8)
Ba3Ga8Pt3: theoretical XRD peak list (Cu Kα, 1.54184 Å), based on a cell relaxed with GGA-PBE.

Principal peaks in the range 2θ from 10° to 80°, by intensity:
32.98 deg, 2.716 Å, intensity 100, (1 2 3); 26.27 deg, 3.392 Å, intensity 43, (1 2 1); 43.68 deg, 2.072 Å, intensity 43, (1 2 5); 40.23 deg, 2.242 Å, intensity 41, (2 0 0); 30.93 deg, 2.891 Å, intensity 40, (1 3 0); 13.81 deg, 6.412 Å, intensity 39, (0 0 2)

Cell and atoms:
a = 4.4836 Å, b = 11.3451 Å, c = 12.8239 Å
α = 90.00°, β = 90.00°, γ = 90.00°
Space group Immm (No. 71)
Inequivalent atoms, fractional coordinates:
Ba 0.0000 0.0000 0.0000 (multiplicity 2)
Ba 0.0000 0.0000 0.3226 (multiplicity 4)
Ga 0.0000 0.2948 0.1056 (multiplicity 8)
Ga 0.0000 0.3318 0.3144 (multiplicity 8)
Pt 0.0000 0.2555 0.5000 (multiplicity 4)
Pt 0.0000 0.5000 0.0000 (multiplicity 2)